Entry 1:
Calculated X-ray powder pattern of Mg2InRe for Cu Kα X-rays, from a GGA-PBE-relaxed structure.
Peak positions follow from Bragg's law for the DFT cell and can differ from measured ones.

Peak list (6 most intense, 10° ≤ 2θ ≤ 90°, by angle)
2θ (°)  I/Imax
24.31  82
37.60  100
37.82  26
45.09  30
62.40  22
78.21  23

a b c (Å): 4.021 4.021 8.852
angles (deg): 90.00 90.00 90.00
Space group I-4m2 (No. 119)
Inequivalent atoms, fractional coordinates:
Mg 0.000 0.000 0.000 [2 per cell]
Mg 0.000 0.500 0.250 [2 per cell]
In 0.000 0.000 0.500 [2 per cell]
Re 0.000 0.500 0.750 [2 per cell]

---

Entry 2:
Calculated X-ray powder pattern of PmZrZn10 for Cu Kα X-rays, from a GGA-PBE-relaxed structure.
Peak positions follow from Bragg's law for the DFT cell and can differ from measured ones.

Peak list (6 most intense, 10° ≤ 2θ ≤ 90°, by angle)
2θ (°)  I/Imax
28.94  49
34.09  26
39.39  34
40.31  52
40.51  100
43.21  43

a b c (Å): 4.187 5.295 9.090
angles (deg): 90.00 90.00 90.00
Space group Pmmm (No. 47)
Inequivalent atoms, fractional coordinates:
Pm 0.000 0.000 0.000 [1 per cell]
Zr 0.000 0.500 0.500 [1 per cell]
Zn 0.000 0.000 0.344 [2 per cell]
Zn 0.000 0.500 0.178 [2 per cell]
Zn 0.500 0.000 0.500 [1 per cell]
Zn 0.500 0.254 0.257 [4 per cell]
Zn 0.500 0.500 0.000 [1 per cell]

---

Entry 3:
Calculated X-ray powder pattern of Zr2ZnRh for Cu Kα X-rays, from a GGA-PBE-relaxed structure.
Peak positions follow from Bragg's law for the DFT cell and can differ from measured ones.

Peak list (6 most intense, 10° ≤ 2θ ≤ 90°, by angle)
2θ (°)  I/Imax
37.80  100
38.45  95
38.76  93
68.49  33
69.10  32
70.38  30

a b c (Å): 3.340 3.393 6.469
angles (deg): 90.00 90.00 90.00
Space group Pmmm (No. 47)
Inequivalent atoms, fractional coordinates:
Zr 0.000 0.000 0.245 [2 per cell]
Zn 0.500 0.500 0.500 [1 per cell]
Rh 0.500 0.500 0.000 [1 per cell]

---

Entry 4:
Calculated X-ray powder pattern of Ac2Ga7Ge for Cu Kα X-rays, from a GGA-PBE-relaxed structure.
Peak positions follow from Bragg's law for the DFT cell and can differ from measured ones.

Peak list (6 most intense, 10° ≤ 2θ ≤ 90°, by angle)
2θ (°)  I/Imax
20.78  30
26.59  30
32.26  100
33.09  78
37.96  65
51.22  46

a b c (Å): 4.741 4.741 9.894
angles (deg): 90.00 90.00 90.00
Space group P-4m2 (No. 115)
Inequivalent atoms, fractional coordinates:
Ac 0.000 0.500 0.249 [2 per cell]
Ga 0.000 0.000 0.000 [1 per cell]
Ga 0.000 0.000 0.500 [1 per cell]
Ga 0.000 0.500 0.623 [2 per cell]
Ga 0.000 0.500 0.880 [2 per cell]
Ga 0.500 0.500 0.500 [1 per cell]
Ge 0.500 0.500 0.000 [1 per cell]

---

Entry 5:
Calculated X-ray powder pattern of Li2Sm3Ag5 for Cu Kα X-rays, from a GGA-PBE-relaxed structure.
Peak positions follow from Bragg's law for the DFT cell and can differ from measured ones.

Peak list (6 most intense, 10° ≤ 2θ ≤ 90°, by angle)
2θ (°)  I/Imax
29.61  44
33.19  33
35.38  100
38.48  32
59.33  17
61.42  18

a b c (Å): 10.470 10.470 3.944
angles (deg): 90.00 90.00 90.00
Space group P4/mbm (No. 127)
Inequivalent atoms, fractional coordinates:
Li 0.115 0.385 0.000 [4 per cell]
Sm 0.000 0.000 0.000 [2 per cell]
Sm 0.181 0.681 0.000 [4 per cell]
Ag 0.000 0.500 0.500 [2 per cell]
Ag 0.061 0.220 0.500 [8 per cell]

---

Entry 6:
Calculated X-ray powder pattern of MgNbCu3 for Cu Kα X-rays, from a GGA-PBE-relaxed structure.
Peak positions follow from Bragg's law for the DFT cell and can differ from measured ones.

Peak list (6 most intense, 10° ≤ 2θ ≤ 90°, by angle)
2θ (°)  I/Imax
28.98  9
35.69  100
41.45  69
60.06  43
71.86  34
75.60  14

a b c (Å): 4.357 4.357 4.357
angles (deg): 90.00 90.00 90.00
Space group Pm-3m (No. 221)
Inequivalent atoms, fractional coordinates:
Mg 0.000 0.000 0.000 [1 per cell]
Nb 0.500 0.500 0.500 [1 per cell]
Cu 0.000 0.000 0.500 [3 per cell]